[1]
The following is a computed powder diffractogram of YTlCo2Cl8. It was derived from a cell relaxed with PBE, using Cu Kα (weighted mean of Kα1 and Kα2).
Intensities are scaled so that the largest is 100.

The 12 most intense peaks (2θ from 10° to 80°), sorted by position:
20.16 deg, I = 100
27.71 deg, I = 43
27.95 deg, I = 16
29.26 deg, I = 41
29.58 deg, I = 31
33.54 deg, I = 39
34.50 deg, I = 27
44.81 deg, I = 25
47.31 deg, I = 39
49.00 deg, I = 28
50.18 deg, I = 14
61.35 deg, I = 15

Structural model:
Unit cell a=10.2743 b=10.2743 c=10.2743 alpha=36.53 beta=36.53 gamma=36.53
Element x y z (fractional)
Y: 0.0000 0.0000 0.0000
Tl: 0.5000 0.5000 0.5000
Co: 0.2527 0.2527 0.2527
Co: 0.7473 0.7473 0.7473
Cl: 0.0579 0.3875 0.7191
Cl: 0.1766 0.1766 0.1766
Cl: 0.2809 0.9421 0.6125
Cl: 0.3875 0.7191 0.0579
Cl: 0.6125 0.2809 0.9421
Cl: 0.7191 0.0579 0.3875
Cl: 0.8234 0.8234 0.8234
Cl: 0.9421 0.6125 0.2809

---

[2]
The following is a computed powder diffractogram of Tm2CoCl. It was derived from a cell relaxed with PBE, using Cu Kα (weighted mean of Kα1 and Kα2).
Intensities are scaled so that the largest is 100.

The 12 most intense peaks (2θ from 10° to 80°), sorted by position:
12.12 deg, I = 35
24.37 deg, I = 11
28.63 deg, I = 42
32.00 deg, I = 100
34.34 deg, I = 11
39.98 deg, I = 23
43.18 deg, I = 26
48.48 deg, I = 36
53.98 deg, I = 16
59.28 deg, I = 17
62.46 deg, I = 12
79.99 deg, I = 14

Structural model:
Unit cell a=3.7554 b=3.7554 c=21.9119 alpha=90.00 beta=90.00 gamma=120.00
Element x y z (fractional)
Tm: 0.0000 0.0000 0.2326
Tm: 0.0000 0.0000 0.7674
Tm: 0.3333 0.6667 0.4341
Tm: 0.3333 0.6667 0.8993
Tm: 0.6667 0.3333 0.1007
Tm: 0.6667 0.3333 0.5659
Co: 0.0000 0.0000 0.5000
Co: 0.3333 0.6667 0.1667
Co: 0.6667 0.3333 0.8333
Cl: 0.0000 0.0000 0.0000
Cl: 0.3333 0.6667 0.6667
Cl: 0.6667 0.3333 0.3333